(1)
Starting from a cell relaxed with GGA+U, the XRD peak list of V2Cu3H24O12F12 was computed for CuKα.
Intensities are scaled so that the largest is 100.

Peak list (10 most intense, 2θ = 10–90°, most intense first)
d/Å, I/Imax, hkl
3.794, 100, 0 2 0
4.146, 57, 0 0 2
4.584, 36, -1 1 1
4.670, 32, 1 -1 1
4.441, 30, 1 1 -1
2.793, 25, 2 0 2
2.278, 24, 1 3 -1
4.346, 23, 1 1 1
2.457, 20, -1 1 3
1.897, 20, 0 4 0

Cell and atoms:
```
data_V2Cu3H24O12F12
_chemical_formula_sum 'V2 Cu3 H24 O12 F12'
_space_group_name_H-M_alt 'P -1'
_space_group_IT_number 2
_cell_length_a 7.609
_cell_length_b 7.613
_cell_length_c 8.296
_cell_angle_alpha 91.77
_cell_angle_beta 90.10
_cell_angle_gamma 94.20
loop_
_space_group_symop_operation_xyz
'x,y,z'
'-x,-y,-z'
loop_
_atom_site_label
_atom_site_type_symbol
_atom_site_fract_x
_atom_site_fract_y
_atom_site_fract_z
V1 V 0.000 0.000 0.000
V2 V 0.500 0.500 0.500
Cu1 Cu 0.000 0.000 0.500
Cu2 Cu 0.000 0.500 0.000
Cu3 Cu 0.500 0.000 0.000
H1 H 0.073 0.336 0.444
H2 H 0.111 0.295 0.784
H3 H 0.121 0.683 0.487
H4 H 0.213 0.488 0.762
H5 H 0.235 0.477 0.224
H6 H 0.245 0.052 0.302
H7 H 0.279 0.354 0.073
H8 H 0.283 0.963 0.779
H9 H 0.327 0.108 0.478
H10 H 0.391 0.671 0.072
H11 H 0.398 0.792 0.761
H12 H 0.492 0.237 0.787
O1 O 0.033 0.746 0.549
O2 O 0.098 0.426 0.789
O3 O 0.240 0.472 0.102
O4 O 0.244 0.021 0.418
O5 O 0.404 0.922 0.789
O6 O 0.492 0.758 0.093
F1 F 0.102 0.779 0.970
F2 F 0.108 0.081 0.788
F3 F 0.218 0.096 0.112
F4 F 0.250 0.492 0.411
F5 F 0.406 0.593 0.706
F6 F 0.450 0.265 0.584
```


(2)
Starting from a cell relaxed with GGA+U, the XRD peak list of Mn2O3F was computed for CuKα.
Intensities are scaled so that the largest is 100.

Peak list (10 most intense, 2θ = 10–90°, most intense first)
d/Å, I/Imax, hkl
2.530, 100, 3 1 0
3.173, 91, 2 0 -2
3.312, 84, 0 2 0
1.719, 49, 3 3 0
1.681, 27, 1 1 -4
1.676, 26, 5 1 -2
2.237, 17, 2 2 1
1.366, 17, 1 3 -4
1.363, 17, 5 3 -2
1.517, 16, 4 0 2

Cell and atoms:
```
data_Mn2O3F
_chemical_formula_sum 'Mn12 O18 F6'
_space_group_name_H-M_alt 'C 1 2 1'
_space_group_IT_number 5
_cell_length_a 8.766
_cell_length_b 6.624
_cell_length_c 7.043
_cell_angle_alpha 90.00
_cell_angle_beta 110.68
_cell_angle_gamma 90.00
loop_
_space_group_symop_operation_xyz
'x,y,z'
'-x,y,-z'
'x+1/2,y+1/2,z'
'-x+1/2,y+1/2,-z'
loop_
_atom_site_label
_atom_site_type_symbol
_atom_site_fract_x
_atom_site_fract_y
_atom_site_fract_z
Mn1 Mn 0.000 0.000 0.000
Mn2 Mn 0.000 0.012 0.500
Mn3 Mn 0.165 0.482 0.665
Mn4 Mn 0.167 0.462 0.166
O1 O 0.000 0.297 0.500
O2 O 0.063 0.470 0.872
O3 O 0.100 0.985 0.796
O4 O 0.174 0.175 0.173
O5 O 0.231 0.990 0.542
F1 F 0.000 0.709 0.500
F2 F 0.159 0.768 0.157
```


(3)
Starting from a cell relaxed with GGA+U, the XRD peak list of Li6TiNi7O16 was computed for CuKα.
Intensities are scaled so that the largest is 100.

Peak list (10 most intense, 2θ = 10–90°, most intense first)
d/Å, I/Imax, hkl
4.832, 100, 1 1 0
2.086, 21, 0 1 -3
2.058, 20, 1 3 2
2.013, 19, 3 0 1
2.416, 16, 2 -1 1
2.484, 13, 1 0 3
2.460, 13, 0 2 2
1.454, 11, 1 2 5
2.357, 8, -1 1 2
1.477, 5, 1 4 -1

Cell and atoms:
```
data_Li6TiNi7O16
_chemical_formula_sum 'Li6 Ti1 Ni7 O16'
_space_group_name_H-M_alt 'P 1'
_space_group_IT_number 1
_cell_length_a 6.422
_cell_length_b 6.553
_cell_length_c 7.692
_cell_angle_alpha 75.97
_cell_angle_beta 65.82
_cell_angle_gamma 70.80
loop_
_space_group_symop_operation_xyz
'x,y,z'
loop_
_atom_site_label
_atom_site_type_symbol
_atom_site_fract_x
_atom_site_fract_y
_atom_site_fract_z
Li1 Li 0.000 0.000 0.000
Li2 Li 0.107 0.899 0.621
Li3 Li 0.382 0.617 0.885
Li4 Li 0.497 0.520 0.494
Li5 Li 0.616 0.389 0.133
Li6 Li 0.890 0.128 0.378
Ti1 Ti 0.446 0.088 0.685
Ni1 Ni 0.049 0.440 0.820
Ni2 Ni 0.189 0.319 0.442
Ni3 Ni 0.315 0.192 0.065
Ni4 Ni 0.562 0.935 0.317
Ni5 Ni 0.689 0.820 0.947
Ni6 Ni 0.812 0.687 0.565
Ni7 Ni 0.942 0.566 0.187
O1 O 0.007 0.715 0.934
O2 O 0.122 0.144 0.722
O3 O 0.125 0.573 0.559
O4 O 0.239 0.061 0.345
O5 O 0.270 0.452 0.150
O6 O 0.371 0.935 0.958
O7 O 0.377 0.351 0.788
O8 O 0.494 0.797 0.583
O9 O 0.515 0.230 0.421
O10 O 0.627 0.651 0.220
O11 O 0.643 0.068 0.062
O12 O 0.728 0.565 0.848
O13 O 0.775 0.964 0.648
O14 O 0.876 0.423 0.440
O15 O 0.888 0.822 0.285
O16 O 0.979 0.312 0.085
```